# Ac2Cd16Pb
Theoretical powder X-ray diffraction pattern, Cu Kα X-rays. Input: a cell relaxed with PBE.
Neutral-atom scattering factors, no anomalous dispersion.

Principal peaks in the range 2θ from 10° to 80°, by intensity:
d [Å]  Position (°2θ)  intensity
2.576  34.83  100.0
2.607  34.40  64.4
2.489  36.08  52.1
3.010  29.68  47.9
2.309  39.01  39.5
2.877  31.09  26.3
1.505  61.62  25.6
1.453  64.10  25.3
1.641  56.05  18.6
2.519  35.64  16.8

Atomic structure:
```
Ac2Cd16Pb
1.0
5.2136 3.0101 4.9766
-5.2136 3.0101 4.9766
0.0000 -6.0202 4.9766
Ac Cd Pb
2 16 1
direct
0.0000 0.0000 0.0000 Ac
0.3290 0.3290 0.3290 Ac
0.0183 0.0183 0.4947 Cd
0.0183 0.4947 0.0183 Cd
0.1507 0.6706 0.6706 Cd
0.3087 0.3087 0.8281 Cd
0.3087 0.8281 0.3087 Cd
0.3584 0.6627 0.9686 Cd
0.3584 0.9686 0.6627 Cd
0.4947 0.0183 0.0183 Cd
0.6627 0.3584 0.9686 Cd
0.6627 0.9686 0.3584 Cd
0.6706 0.1507 0.6706 Cd
0.6706 0.6706 0.1507 Cd
0.7672 0.7672 0.7672 Cd
0.8281 0.3087 0.3087 Cd
0.9686 0.3584 0.6627 Cd
0.9686 0.6627 0.3584 Cd
0.5638 0.5638 0.5638 Pb
```


# LiGdP4O12
Theoretical powder X-ray diffraction pattern, Cu Kα X-rays. Input: a cell relaxed with PBE.
Neutral-atom scattering factors, no anomalous dispersion.

Principal peaks in the range 2θ from 10° to 80°, by intensity:
d [Å]  Position (°2θ)  intensity
4.367  20.34  100.0
3.949  22.51  72.2
2.758  32.47  50.4
5.776  15.34  47.2
6.675  13.26  44.7
2.889  30.95  40.1
3.257  27.38  33.9
1.932  47.03  25.0
2.970  30.09  24.6
3.869  22.99  22.0

Atomic structure:
```
LiGdP4O12
1.0
8.2737 -3.5760 0.0000
8.2737 3.5760 0.0000
-5.7881 0.0000 7.9017
Li Gd P O
2 2 8 24
direct
0.2050 0.7950 0.7500 Li
0.7950 0.2050 0.2500 Li
0.2950 0.7050 0.2500 Gd
0.7050 0.2950 0.7500 Gd
0.0847 0.1904 0.6155 P
0.1904 0.0847 0.1155 P
0.2015 0.5059 0.8046 P
0.4941 0.7985 0.6954 P
0.5059 0.2015 0.3046 P
0.7985 0.4941 0.1954 P
0.8096 0.9153 0.8845 P
0.9153 0.8096 0.3845 P
0.0315 0.2821 0.2314 O
0.0614 0.0727 0.4296 O
0.0727 0.0614 0.9296 O
0.0999 0.6745 0.3163 O
0.1644 0.3261 0.6512 O
0.2602 0.4892 0.9734 O
0.2821 0.0315 0.7314 O
0.3255 0.9001 0.1837 O
0.3261 0.1644 0.1512 O
0.3400 0.5144 0.7716 O
0.4856 0.6600 0.7284 O
0.4892 0.2602 0.4734 O
0.5108 0.7398 0.5266 O
0.5144 0.3400 0.2716 O
0.6600 0.4856 0.2284 O
0.6739 0.8356 0.8488 O
0.6745 0.0999 0.8163 O
0.7179 0.9685 0.2686 O
0.7398 0.5108 0.0266 O
0.8356 0.6739 0.3488 O
0.9001 0.3255 0.6837 O
0.9273 0.9386 0.0704 O
0.9386 0.9273 0.5704 O
0.9685 0.7179 0.7686 O
```


# Pr4Ir2Rh
Theoretical powder X-ray diffraction pattern, Cu Kα X-rays. Input: a cell relaxed with PBE.
Neutral-atom scattering factors, no anomalous dispersion.

Principal peaks in the range 2θ from 10° to 80°, by intensity:
d [Å]  Position (°2θ)  intensity
2.829  31.62  100.0
2.391  37.61  54.2
1.756  52.10  17.7
1.451  64.21  17.5
1.908  47.67  12.6
1.826  49.94  11.3
2.001  45.32  10.8
1.217  78.64  9.6
1.753  52.17  8.4
1.453  64.07  7.9

Atomic structure:
```
Pr4Ir2Rh
1.0
-4.4695 4.4695 4.4819
4.4695 -4.4695 4.4819
4.4695 4.4695 -4.4819
Pr Ir Rh
8 4 2
direct
0.0033 0.7523 0.1264 Pr
0.1232 0.9967 0.7490 Pr
0.1242 0.4977 0.7510 Pr
0.2477 0.3742 0.2510 Pr
0.5023 0.2533 0.6264 Pr
0.6258 0.8768 0.8736 Pr
0.6268 0.8758 0.3736 Pr
0.7467 0.3732 0.2490 Pr
0.0016 0.1250 0.3766 Ir
0.3750 0.9984 0.1234 Ir
0.7484 0.6250 0.6234 Ir
0.8750 0.2516 0.8766 Ir
0.2500 0.7500 0.5000 Rh
0.5000 0.5000 0.0000 Rh
```


# K4PAu
Theoretical powder X-ray diffraction pattern, Cu Kα X-rays. Input: a cell relaxed with PBE.
Neutral-atom scattering factors, no anomalous dispersion.

Principal peaks in the range 2θ from 10° to 80°, by intensity:
d [Å]  Position (°2θ)  intensity
2.764  32.40  100.0
3.241  27.52  54.3
5.292  16.75  41.6
1.764  51.83  34.2
4.583  19.37  31.4
1.871  48.67  22.9
2.646  33.88  22.0
1.620  56.82  19.6
2.050  44.19  16.8
2.103  43.01  13.3

Atomic structure:
```
K4PAu
1.0
0.0000 4.5829 4.5829
4.5829 0.0000 4.5829
4.5829 4.5829 0.0000
K P Au
4 1 1
direct
0.1252 0.1252 0.1252 K
0.1252 0.1252 0.6244 K
0.1252 0.6244 0.1252 K
0.6244 0.1252 0.1252 K
0.7500 0.7500 0.7500 P
0.5000 0.5000 0.5000 Au
```


# La6N3Cl2
Theoretical powder X-ray diffraction pattern, Cu Kα X-rays. Input: a cell relaxed with PBE.
Neutral-atom scattering factors, no anomalous dispersion.

Principal peaks in the range 2θ from 10° to 80°, by intensity:
d [Å]  Position (°2θ)  intensity
2.775  32.25  100.0
3.130  28.51  87.6
1.895  48.00  37.9
2.576  34.82  23.2
3.465  25.71  22.9
6.929  12.78  22.6
2.037  44.47  22.1
2.202  40.98  20.5
1.465  63.49  19.7
1.437  64.87  18.0

Atomic structure:
```
La6N3Cl2
1.0
3.2822 -5.6867 0.0000
3.2822 5.6867 0.0000
-2.1861 0.0000 6.9294
La N Cl
6 3 2
direct
0.1012 0.4299 0.8034 La
0.2284 0.2284 0.1999 La
0.4299 0.1012 0.8034 La
0.5701 0.8988 0.1966 La
0.7716 0.7716 0.8001 La
0.8988 0.5701 0.1966 La
0.1672 0.8328 0.0000 N
0.5000 0.5000 0.0000 N
0.8328 0.1672 0.0000 N
0.3328 0.6672 0.5000 Cl
0.6672 0.3328 0.5000 Cl
```


# CdCu2Pt
Theoretical powder X-ray diffraction pattern, Cu Kα X-rays. Input: a cell relaxed with PBE.
Neutral-atom scattering factors, no anomalous dispersion.

Principal peaks in the range 2θ from 10° to 80°, by intensity:
d [Å]  Position (°2θ)  intensity
2.167  41.68  100.0
2.279  39.55  74.0
2.287  39.40  68.2
2.082  43.46  50.1
3.219  27.71  42.9
2.183  41.36  37.5
2.162  41.79  34.3
1.237  77.08  29.6
5.074  17.48  25.4
1.507  61.55  22.7

Atomic structure:
```
CdCu2Pt
1.0
2.8340 0.0000 0.0000
0.0000 4.1645 0.0000
-1.3662 0.0000 5.0744
Cd Cu Pt
1 2 1
direct
0.0000 0.0000 0.0000 Cd
0.6118 0.5000 0.2239 Cu
0.7293 0.0000 0.4829 Cu
0.3357 0.5000 0.6850 Pt
```


# Tb4Ga2Sb
Theoretical powder X-ray diffraction pattern, Cu Kα X-rays. Input: a cell relaxed with PBE.
Neutral-atom scattering factors, no anomalous dispersion.

Principal peaks in the range 2θ from 10° to 80°, by intensity:
d [Å]  Position (°2θ)  intensity
2.425  37.07  100.0
2.872  31.14  96.8
2.862  31.25  53.8
1.781  51.31  28.7
1.473  63.11  24.1
1.853  49.16  17.6
3.705  24.02  16.5
3.206  27.82  16.2
1.777  51.43  16.1
1.436  64.93  14.5

Atomic structure:
```
Tb4Ga2Sb
1.0
-4.5427 4.5427 4.5235
4.5427 -4.5427 4.5235
4.5427 4.5427 -4.5235
Tb Ga Sb
8 4 2
direct
0.1143 0.5090 0.7467 Tb
0.1176 0.0122 0.7533 Tb
0.2590 0.3643 0.2467 Tb
0.4910 0.2378 0.6053 Tb
0.6324 0.8857 0.3947 Tb
0.6357 0.8824 0.8947 Tb
0.7622 0.3676 0.2533 Tb
0.9878 0.7410 0.1053 Tb
0.0016 0.1250 0.3766 Ga
0.3750 0.9984 0.1234 Ga
0.7484 0.6250 0.6234 Ga
0.8750 0.2516 0.8766 Ga
0.2500 0.7500 0.5000 Sb
0.5000 0.5000 0.0000 Sb
```


# K4Tm3SnS8
Theoretical powder X-ray diffraction pattern, Cu Kα X-rays. Input: a cell relaxed with PBE.
Neutral-atom scattering factors, no anomalous dispersion.

Principal peaks in the range 2θ from 10° to 80°, by intensity:
d [Å]  Position (°2θ)  intensity
2.941  30.40  100.0
7.348  12.04  78.9
2.160  41.83  35.4
3.316  26.89  34.5
2.008  45.17  33.5
3.435  25.94  25.2
2.334  38.57  20.2
3.674  24.23  17.6
1.937  46.92  17.2
1.658  55.42  17.2

Atomic structure:
```
K4Tm3SnS8
1.0
4.0150 2.3181 7.3478
-4.0150 2.3181 7.3478
0.0000 -4.6361 7.3478
K Tm Sn S
4 3 1 8
direct
0.0000 0.0000 0.0000 K
0.0000 0.5000 0.5000 K
0.5000 0.0000 0.5000 K
0.5000 0.5000 0.0000 K
0.0000 0.0000 0.5000 Tm
0.0000 0.5000 0.0000 Tm
0.5000 0.0000 0.0000 Tm
0.5000 0.5000 0.5000 Sn
0.2299 0.7345 0.7345 S
0.2333 0.2333 0.2333 S
0.2655 0.2655 0.7701 S
0.2655 0.7701 0.2655 S
0.7345 0.2299 0.7345 S
0.7345 0.7345 0.2299 S
0.7667 0.7667 0.7667 S
0.7701 0.2655 0.2655 S
```